Theoretical powder X-ray diffraction pattern
Compound: LiInCo2
Radiation: copper Kα
Structure: a cell relaxed with PBE

Peak list (10 most intense, 15 to 90 degrees two-theta, low angle first)
| 2theta | intensity |
| --- | --- |
| 21.28 | 64 |
| 23.02 | 29 |
| 23.38 | 29 |
| 30.17 | 24 |
| 35.13 | 34 |
| 41.23 | 100 |
| 41.66 | 97 |
| 41.86 | 50 |
| 43.32 | 52 |
| 58.23 | 18 |

```
LiInCo2
1.0
4.664 -1.584 0.000
4.664 1.584 0.000
-1.925 0.000 3.864
Li In Co
1 1 2
direct
0.000 0.000 0.000
0.227 0.227 0.727
0.461 0.461 0.458
0.760 0.760 0.259
```